[1]
This entry pairs a crystal structure of Hf7Ga5 with its calculated X-ray powder pattern. Radiation: Cu Kα. Structure: a crystal structure in Alexandria, relaxed with PBE.

Most intense lines, 10° ≤ 2θ ≤ 90°, sorted by position:
- 35.6°, I = 100
- 37.4°, I = 87
- 38.5°, I = 39
- 44.2°, I = 30
- 44.4°, I = 24
- 60.0°, I = 21
- 64.5°, I = 16
- 66.6°, I = 14
- 70.0°, I = 11
- 75.7°, I = 11

a = 6.467 Å, b = 6.467 Å, c = 10.509 Å
α = 115.52°, β = 115.52°, γ = 36.96°
Fractional coordinates of all 12 atoms:
1 Hf 0.000 0.000 0.000
2 Hf 0.109 0.109 0.758
3 Hf 0.156 0.156 0.491
4 Hf 0.413 0.413 0.755
5 Hf 0.587 0.587 0.245
6 Hf 0.844 0.844 0.509
7 Hf 0.891 0.891 0.242
8 Ga 0.251 0.251 0.283
9 Ga 0.334 0.334 0.022
10 Ga 0.500 0.500 0.500
11 Ga 0.666 0.666 0.978
12 Ga 0.749 0.749 0.717

***

[2]
This entry pairs a crystal structure of Na2Cd2Sn3 with its calculated X-ray powder pattern. Radiation: Cu Kα. Structure: a crystal structure in Alexandria, relaxed with PBE.

Most intense lines, 10° ≤ 2θ ≤ 90°, sorted by position:
- 15.1°, I = 100
- 22.8°, I = 38
- 28.9°, I = 32
- 30.6°, I = 75
- 30.8°, I = 50
- 32.7°, I = 39
- 36.4°, I = 76
- 37.6°, I = 49
- 39.6°, I = 70
- 41.0°, I = 66

a = 6.737 Å, b = 6.737 Å, c = 7.727 Å
α = 115.30°, β = 115.30°, γ = 39.50°
Fractional coordinates of all 7 atoms:
1 Na 0.140 0.140 0.299
2 Na 0.860 0.860 0.701
3 Cd 0.155 0.155 0.751
4 Cd 0.845 0.845 0.249
5 Sn 0.401 0.401 0.045
6 Sn 0.500 0.500 0.500
7 Sn 0.599 0.599 0.955

***

[3]
This entry pairs a crystal structure of NaNpAg2Se4 with its calculated X-ray powder pattern. Radiation: Cu Kα. Structure: a crystal structure in Alexandria, relaxed with PBE.

Most intense lines, 10° ≤ 2θ ≤ 90°, sorted by position:
- 16.5°, I = 70
- 28.6°, I = 100
- 30.5°, I = 32
- 35.5°, I = 73
- 36.2°, I = 17
- 44.2°, I = 26
- 45.6°, I = 28
- 46.8°, I = 25
- 52.2°, I = 22
- 82.1°, I = 19

a = 6.433 Å, b = 6.433 Å, c = 6.433 Å
α = 113.98°, β = 111.02°, γ = 103.58°
Fractional coordinates of all 8 atoms:
1 Na 0.000 0.000 0.000
2 Np 0.500 0.500 0.000
3 Ag 0.318 0.818 0.500
4 Ag 0.682 0.182 0.500
5 Se 0.090 0.101 0.521
6 Se 0.420 0.899 0.988
7 Se 0.580 0.568 0.479
8 Se 0.910 0.432 0.012

***

[4]
This entry pairs a crystal structure of Tb6TlIn5 with its calculated X-ray powder pattern. Radiation: Cu Kα. Structure: a crystal structure in Alexandria, relaxed with PBE.

Most intense lines, 10° ≤ 2θ ≤ 90°, sorted by position:
- 33.5°, I = 51
- 33.6°, I = 100
- 48.0°, I = 18
- 48.4°, I = 9
- 59.9°, I = 38
- 60.1°, I = 19
- 70.6°, I = 11
- 80.2°, I = 16
- 80.8°, I = 8
- 90.0°, I = 6

a = 8.471 Å, b = 8.471 Å, c = 7.519 Å
α = 90.00°, β = 90.00°, γ = 143.15°
Fractional coordinates of all 12 atoms:
1 Tb 0.000 0.000 0.249
2 Tb 0.000 0.000 0.751
3 Tb 0.333 0.667 0.249
4 Tb 0.333 0.667 0.751
5 Tb 0.667 0.333 0.249
6 Tb 0.667 0.333 0.751
7 Tl 0.500 0.500 0.500
8 In 0.166 0.834 0.000
9 In 0.167 0.833 0.500
10 In 0.500 0.500 0.000
11 In 0.833 0.167 0.500
12 In 0.834 0.166 0.000